1.
The following is a computed powder diffraction line list of PWO5. It was derived from a structure optimized by DFT (PBE+U), using Cu Kα.
Neutral-atom scattering factors, no anomalous dispersion.

Most intense lines, 2θ = 10–90°, sorted by position:
4.942 Å, I = 100
3.801 Å, I = 37
3.352 Å, I = 73
3.253 Å, I = 52
2.471 Å, I = 25
2.361 Å, I = 23
2.343 Å, I = 15
2.327 Å, I = 15
2.097 Å, I = 14
2.086 Å, I = 16
1.677 Å, I = 17
1.641 Å, I = 14

Atomic structure:
```
PWO5
1.0
3.7391 -3.8009 0.0000
3.7391 3.8009 0.0000
-3.6807 0.0000 6.5011
P W O
2 2 10
Direct
0.1277 0.8723 0.7500 P
0.8723 0.1277 0.2500 P
0.5000 0.5000 0.0000 W
0.5000 0.5000 0.5000 W
0.1833 0.1933 0.3466 O
0.1933 0.1833 0.8466 O
0.2400 0.7498 0.9165 O
0.2502 0.7600 0.5835 O
0.4364 0.5636 0.2500 O
0.5636 0.4364 0.7500 O
0.7498 0.2400 0.4165 O
0.7600 0.2502 0.0835 O
0.8067 0.8167 0.1534 O
0.8167 0.8067 0.6534 O
```

2.
The following is a computed powder diffraction line list of P2WO7. It was derived from a structure optimized by DFT (PBE+U), using Cu Kα.
Neutral-atom scattering factors, no anomalous dispersion.

Most intense lines, 2θ = 10–90°, sorted by position:
4.856 Å, I = 81
4.206 Å, I = 100
2.974 Å, I = 50
2.536 Å, I = 63
2.428 Å, I = 18
1.930 Å, I = 22
1.881 Å, I = 36
1.717 Å, I = 30
1.619 Å, I = 32
1.422 Å, I = 19
1.402 Å, I = 15
1.095 Å, I = 16

Atomic structure:
```
P2WO7
1.0
8.4110 0.0000 0.0000
0.0000 8.4110 0.0000
0.0000 0.0000 8.4110
P W O
8 4 28
Direct
0.1091 0.1091 0.1091 P
0.1091 0.3909 0.6091 P
0.3909 0.6091 0.1091 P
0.3909 0.8909 0.6091 P
0.6091 0.1091 0.3909 P
0.6091 0.3909 0.8909 P
0.8909 0.6091 0.3909 P
0.8909 0.8909 0.8909 P
0.0000 0.0000 0.5000 W
0.0000 0.5000 0.0000 W
0.5000 0.0000 0.0000 W
0.5000 0.5000 0.5000 W
0.0000 0.0000 0.0000 O
0.0000 0.5000 0.5000 O
0.0546 0.2205 0.5881 O
0.0546 0.2795 0.0881 O
0.0881 0.0546 0.2795 O
0.0881 0.4454 0.7795 O
0.2205 0.5881 0.0546 O
0.2205 0.9119 0.5546 O
0.2795 0.0881 0.0546 O
0.2795 0.4119 0.5546 O
0.4119 0.5546 0.2795 O
0.4119 0.9454 0.7795 O
0.4454 0.7205 0.5881 O
0.4454 0.7795 0.0881 O
0.5000 0.0000 0.5000 O
0.5000 0.5000 0.0000 O
0.5546 0.2205 0.9119 O
0.5546 0.2795 0.4119 O
0.5881 0.0546 0.2205 O
0.5881 0.4454 0.7205 O
0.7205 0.5881 0.4454 O
0.7205 0.9119 0.9454 O
0.7795 0.0881 0.4454 O
0.7795 0.4119 0.9454 O
0.9119 0.5546 0.2205 O
0.9119 0.9454 0.7205 O
0.9454 0.7205 0.9119 O
0.9454 0.7795 0.4119 O
```

3.
The following is a computed powder diffraction line list of P2WO7. It was derived from a structure optimized by DFT (PBE+U), using Cu Kα.
Neutral-atom scattering factors, no anomalous dispersion.

Most intense lines, 2θ = 10–90°, sorted by position:
5.325 Å, I = 100
4.577 Å, I = 12
4.190 Å, I = 42
3.500 Å, I = 14
3.118 Å, I = 38
3.029 Å, I = 23
2.704 Å, I = 10
2.663 Å, I = 15
2.622 Å, I = 10
2.446 Å, I = 9
2.378 Å, I = 10
2.136 Å, I = 10

Atomic structure:
```
P2WO7
1.0
5.0093 0.0000 0.0000
0.0000 8.5194 0.0000
-1.9756 0.0000 6.8228
P W O
4 2 14
Direct
0.1183 0.0000 0.4980 P
0.2551 0.4264 0.8869 P
0.7449 0.9264 0.1131 P
0.8817 0.5000 0.5020 P
0.2832 0.6903 0.2712 W
0.7168 0.1903 0.7288 W
0.0595 0.5192 0.3585 O
0.0660 0.2894 0.9131 O
0.0727 0.5421 0.7189 O
0.2148 0.8311 0.4970 O
0.3552 0.1194 0.5347 O
0.3556 0.5289 0.0653 O
0.4970 0.3666 0.8148 O
0.5030 0.8666 0.1852 O
0.6444 0.0289 0.9347 O
0.6448 0.6194 0.4653 O
0.7852 0.3311 0.5030 O
0.9273 0.0421 0.2811 O
0.9340 0.7894 0.0869 O
0.9405 0.0192 0.6415 O
```

4.
The following is a computed powder diffraction line list of P2W2O9. It was derived from a structure optimized by DFT (PBE+U), using Cu Kα.
Neutral-atom scattering factors, no anomalous dispersion.

Most intense lines, 2θ = 10–90°, sorted by position:
7.354 Å, I = 81
6.922 Å, I = 36
5.366 Å, I = 60
5.046 Å, I = 39
4.773 Å, I = 49
4.158 Å, I = 75
3.790 Å, I = 40
2.974 Å, I = 100
2.754 Å, I = 32
2.575 Å, I = 29
1.890 Å, I = 29
1.729 Å, I = 37

Atomic structure:
```
P2W2O9
1.0
14.7088 0.0000 0.0000
0.0000 6.5899 0.0000
0.0000 0.0000 7.8455
P W O
8 8 36
Direct
0.0633 0.2500 0.1386 P
0.1893 0.2500 0.5922 P
0.3107 0.7500 0.0922 P
0.4367 0.7500 0.6386 P
0.5633 0.2500 0.3614 P
0.6893 0.2500 0.9078 P
0.8107 0.7500 0.4078 P
0.9367 0.7500 0.8614 P
0.0000 0.0000 0.5000 W
0.0000 0.5000 0.5000 W
0.1284 0.7500 0.1395 W
0.3716 0.2500 0.6395 W
0.5000 0.0000 0.0000 W
0.5000 0.5000 0.0000 W
0.6284 0.7500 0.3605 W
0.8716 0.2500 0.8605 W
0.0094 0.7500 0.9991 O
0.0155 0.2500 0.3225 O
0.0457 0.7500 0.3663 O
0.1220 0.0596 0.1303 O
0.1220 0.4404 0.1303 O
0.1274 0.0594 0.5885 O
0.1274 0.4406 0.5885 O
0.2357 0.7500 0.9538 O
0.2490 0.2500 0.7600 O
0.2510 0.7500 0.2600 O
0.2643 0.2500 0.4538 O
0.3726 0.5594 0.0885 O
0.3726 0.9406 0.0885 O
0.3780 0.5596 0.6303 O
0.3780 0.9404 0.6303 O
0.4543 0.2500 0.8663 O
0.4845 0.7500 0.8225 O
0.4906 0.2500 0.4991 O
0.5094 0.7500 0.5009 O
0.5155 0.2500 0.1775 O
0.5457 0.7500 0.1337 O
0.6220 0.0596 0.3697 O
0.6220 0.4404 0.3697 O
0.6274 0.0594 0.9115 O
0.6274 0.4406 0.9115 O
0.7357 0.7500 0.5462 O
0.7490 0.2500 0.7400 O
0.7510 0.7500 0.2400 O
0.7643 0.2500 0.0462 O
0.8726 0.5594 0.4115 O
0.8726 0.9406 0.4115 O
0.8780 0.5596 0.8697 O
0.8780 0.9404 0.8697 O
0.9543 0.2500 0.6337 O
0.9845 0.7500 0.6775 O
0.9906 0.2500 0.0009 O
```

What is the formula in the fourth record?
P2W2O9